Theoretical X-ray powder pattern of Sr4LaCrFe4O15 for CuKα, from a cell relaxed with GGA+U.

Top 6 peaks for 5 to 70 degrees two-theta, low angle first:
| d/Å | Rel. int. |
| --- | --- |
| 2.766 | 100 |
| 2.762 | 50 |
| 2.257 | 22 |
| 1.957 | 37 |
| 1.596 | 28 |
| 1.381 | 27 |

Atomic structure:
Cell lengths 8.723, 8.723, 6.779 Å; angles 104.76, 104.76, 36.96 degrees
Sites, in units of the cell vectors:
Sr  0.000  0.000  0.000
Sr  0.400  0.400  0.600
Sr  0.600  0.600  0.398
Sr  0.800  0.800  0.198
La  0.201  0.201  0.799
Cr  0.801  0.801  0.699
Fe  0.000  0.000  0.498
Fe  0.201  0.201  0.300
Fe  0.401  0.401  0.100
Fe  0.600  0.600  0.899
O  0.000  0.497  0.506
O  0.099  0.593  0.897
O  0.102  0.102  0.405
O  0.200  0.700  0.301
O  0.297  0.297  0.192
O  0.299  0.808  0.701
O  0.397  0.904  0.092
O  0.497  0.000  0.506
O  0.500  0.500  0.998
O  0.593  0.099  0.897
O  0.700  0.200  0.301
O  0.702  0.702  0.798
O  0.808  0.299  0.701
O  0.898  0.898  0.604
O  0.904  0.397  0.092



Theoretical X-ray powder pattern of Li3V2O4F4 for CuKα, from a cell relaxed with GGA+U.

Top 6 peaks for 5 to 70 degrees two-theta, low angle first:
| d/Å | Rel. int. |
| --- | --- |
| 5.943 | 58 |
| 5.577 | 87 |
| 3.188 | 27 |
| 3.148 | 100 |
| 2.438 | 29 |
| 2.091 | 34 |

Atomic structure:
Cell lengths 6.464, 3.620, 6.935 Å; angles 90.00, 113.16, 90.00 degrees
Sites, in units of the cell vectors:
Li  0.000  0.000  0.000
Li  0.022  0.500  0.727
Li  0.740  0.500  0.211
V  0.258  0.500  0.366
V  0.507  0.000  0.791
O  0.076  0.500  0.109
O  0.295  0.000  0.434
O  0.456  0.500  0.713
O  0.677  0.000  0.047
F  0.002  0.500  0.455
F  0.218  0.000  0.832
F  0.522  0.500  0.317
F  0.778  0.000  0.721



Theoretical X-ray powder pattern of Mn2OF3 for CuKα, from a cell relaxed with GGA+U.

Top 6 peaks for 5 to 70 degrees two-theta, low angle first:
| d/Å | Rel. int. |
| --- | --- |
| 3.541 | 100 |
| 3.323 | 94 |
| 2.667 | 99 |
| 1.826 | 68 |
| 1.763 | 59 |
| 1.442 | 47 |

Atomic structure:
Cell lengths 7.375, 7.375, 7.083 Å; angles 90.00, 90.00, 128.66 degrees
Sites, in units of the cell vectors:
Mn  0.124  0.876  0.750
Mn  0.125  0.375  0.750
Mn  0.374  0.626  0.250
Mn  0.375  0.125  0.250
Mn  0.625  0.875  0.750
Mn  0.626  0.374  0.750
Mn  0.875  0.625  0.250
Mn  0.876  0.124  0.250
O  0.031  0.969  0.250
O  0.280  0.720  0.750
O  0.720  0.280  0.250
O  0.969  0.031  0.750
F  0.124  0.373  0.052
F  0.124  0.373  0.448
F  0.223  0.777  0.250
F  0.373  0.124  0.552
F  0.373  0.124  0.948
F  0.474  0.526  0.750
F  0.526  0.474  0.250
F  0.627  0.876  0.052
F  0.627  0.876  0.448
F  0.777  0.223  0.750
F  0.876  0.627  0.552
F  0.876  0.627  0.948



Theoretical X-ray powder pattern of Li4TiCo3O8 for CuKα, from a cell relaxed with GGA+U.

Top 6 peaks for 5 to 70 degrees two-theta, low angle first:
| d/Å | Rel. int. |
| --- | --- |
| 4.860 | 100 |
| 2.571 | 17 |
| 2.511 | 13 |
| 2.146 | 29 |
| 2.086 | 25 |
| 2.050 | 24 |

Atomic structure:
Cell lengths 5.923, 5.950, 8.343 Å; angles 90.47, 90.55, 92.62 degrees
Sites, in units of the cell vectors:
Li  0.000  0.000  0.000
Li  0.000  0.500  0.500
Li  0.248  0.253  0.252
Li  0.251  0.753  0.746
Li  0.500  0.000  0.000
Li  0.500  0.500  0.500
Li  0.749  0.247  0.254
Li  0.752  0.747  0.748
Ti  0.246  0.262  0.758
Ti  0.754  0.738  0.242
Co  0.000  0.000  0.500
Co  0.000  0.500  0.000
Co  0.256  0.753  0.251
Co  0.500  0.000  0.500
Co  0.500  0.500  0.000
Co  0.744  0.247  0.749
O  0.003  0.527  0.255
O  0.011  0.003  0.733
O  0.241  0.228  0.509
O  0.244  0.245  0.986
O  0.257  0.736  0.024
O  0.267  0.762  0.482
O  0.475  0.495  0.744
O  0.492  0.026  0.746
O  0.507  0.974  0.254
O  0.525  0.505  0.256
O  0.733  0.238  0.518
O  0.743  0.264  0.976
O  0.756  0.755  0.014
O  0.759  0.772  0.491
O  0.989  0.997  0.267
O  0.997  0.473  0.745



Theoretical X-ray powder pattern of Na2MgMn4O8 for CuKα, from a cell relaxed with GGA+U.

Top 6 peaks for 5 to 70 degrees two-theta, low angle first:
| d/Å | Rel. int. |
| --- | --- |
| 5.168 | 100 |
| 3.009 | 57 |
| 2.903 | 56 |
| 2.486 | 65 |
| 2.313 | 62 |
| 2.240 | 88 |

Atomic structure:
Cell lengths 3.228, 5.429, 10.336 Å; angles 89.32, 89.65, 77.59 degrees
Sites, in units of the cell vectors:
Na  0.000  0.000  0.000
Na  0.061  0.653  0.448
Mg  0.204  0.485  0.954
Mn  0.260  0.141  0.625
Mn  0.319  0.130  0.296
Mn  0.664  0.598  0.728
Mn  0.675  0.574  0.175
O  0.118  0.827  0.705
O  0.124  0.327  0.794
O  0.157  0.820  0.222
O  0.204  0.312  0.120
O  0.409  0.980  0.464
O  0.623  0.380  0.589
O  0.629  0.684  0.979
O  0.691  0.369  0.327



Theoretical X-ray powder pattern of KCeSnWO6 for CuKα, from a cell relaxed with GGA+U.

Top 6 peaks for 5 to 70 degrees two-theta, low angle first:
| d/Å | Rel. int. |
| --- | --- |
| 4.260 | 22 |
| 3.012 | 100 |
| 2.132 | 20 |
| 1.739 | 41 |
| 1.505 | 13 |
| 1.348 | 12 |

Atomic structure:
Cell lengths 6.031, 6.031, 8.500 Å; angles 90.00, 90.00, 90.00 degrees
Sites, in units of the cell vectors:
K  0.000  0.000  0.250
K  0.000  0.000  0.750
Ce  0.000  0.500  0.000
Ce  0.500  0.000  0.500
Sn  0.500  0.500  0.250
Sn  0.500  0.500  0.750
W  0.000  0.500  0.500
W  0.500  0.000  0.000
O  0.000  0.500  0.269
O  0.000  0.500  0.731
O  0.235  0.275  0.500
O  0.235  0.725  0.500
O  0.275  0.235  0.000
O  0.275  0.765  0.000
O  0.500  0.000  0.231
O  0.500  0.000  0.769
O  0.725  0.235  0.000
O  0.725  0.765  0.000
O  0.765  0.275  0.500
O  0.765  0.725  0.500



Theoretical X-ray powder pattern of H12WN3O3F3 for CuKα, from a cell relaxed with GGA+U.

Top 6 peaks for 5 to 70 degrees two-theta, low angle first:
| d/Å | Rel. int. |
| --- | --- |
| 5.883 | 76 |
| 5.707 | 96 |
| 5.631 | 77 |
| 5.498 | 95 |
| 5.420 | 79 |
| 3.616 | 100 |

Atomic structure:
Cell lengths 6.467, 6.773, 6.870 Å; angles 115.20, 113.16, 93.76 degrees
Sites, in units of the cell vectors:
H  0.000  0.000  0.000
H  0.007  0.209  0.455
H  0.030  0.092  0.811
H  0.056  0.292  0.083
H  0.326  0.643  0.780
H  0.350  0.402  0.795
H  0.379  0.633  0.036
H  0.458  0.181  0.377
H  0.595  0.634  0.953
H  0.648  0.373  0.285
H  0.795  0.095  0.863
H  0.849  0.060  0.496
W  0.129  0.827  0.336
N  0.019  0.108  0.533
N  0.413  0.577  0.890
N  0.972  0.116  0.939
O  0.181  0.550  0.238
O  0.371  0.993  0.349
O  0.878  0.769  0.060
F  0.212  0.828  0.655
F  0.543  0.348  0.420
F  0.725  0.397  0.193